This entry pairs a crystal structure of Nb10N11O with its computed powder XRD pattern. Radiation: Cu Kα (λ = 1.5418 Å). Structure: a GGA-PBE-relaxed structure.
Intensities are scaled so that the largest is 100.

Peak list (8 most intense, 2θ from 10° to 80°, most intense first)
h k l	two_theta	I (rel.)
1 2 -4	38.32	100
2 3 -2	43.02	56
1 2 2	38.20	49
0 4 0	34.01	49
2 1 -2	35.25	45
1 2 -2	25.87	42
2 5 -2	55.91	36
3 0 0	61.02	32

Atomic structure:
```
data_Nb10N11O
_chemical_formula_sum 'Nb20 N22 O2'
_cell_length_a 5.247
_cell_length_b 10.545
_cell_length_c 10.496
_cell_angle_alpha 90.00
_cell_angle_beta 119.76
_cell_angle_gamma 90.00
_space_group_name_H-M_alt 'P 1'
_space_group_IT_number 1
_space_group_name_Hall 'P 1'
loop_
_atom_site_label
_atom_site_type_symbol
_atom_site_fract_x
_atom_site_fract_y
_atom_site_fract_z
Nb1 Nb 0.000 0.000 0.000
Nb2 Nb 0.000 0.000 0.500
Nb3 Nb 0.008 0.251 0.172
Nb4 Nb 0.008 0.749 0.672
Nb5 Nb 0.016 0.243 0.684
Nb6 Nb 0.016 0.757 0.184
Nb7 Nb 0.341 0.253 0.004
Nb8 Nb 0.341 0.747 0.504
Nb9 Nb 0.349 0.000 0.337
Nb10 Nb 0.349 0.000 0.837
Nb11 Nb 0.352 0.498 0.175
Nb12 Nb 0.352 0.502 0.675
Nb13 Nb 0.363 0.241 0.502
Nb14 Nb 0.363 0.759 0.002
Nb15 Nb 0.669 0.497 0.998
Nb16 Nb 0.669 0.503 0.498
Nb17 Nb 0.673 0.002 0.175
Nb18 Nb 0.673 0.998 0.675
Nb19 Nb 0.999 0.497 0.833
Nb20 Nb 0.999 0.503 0.333
N1 N 0.010 0.125 0.838
N2 N 0.010 0.375 0.005
N3 N 0.010 0.625 0.505
N4 N 0.010 0.875 0.338
N5 N 0.013 0.128 0.337
N6 N 0.013 0.872 0.837
N7 N 0.331 0.127 0.166
N8 N 0.331 0.873 0.666
N9 N 0.336 0.127 0.667
N10 N 0.336 0.374 0.834
N11 N 0.336 0.626 0.334
N12 N 0.336 0.873 0.167
N13 N 0.339 0.374 0.339
N14 N 0.339 0.626 0.839
N15 N 0.674 0.128 0.008
N16 N 0.674 0.374 0.169
N17 N 0.674 0.626 0.669
N18 N 0.674 0.872 0.508
N19 N 0.675 0.373 0.664
N20 N 0.675 0.627 0.164
N21 N 0.679 0.126 0.505
N22 N 0.679 0.874 0.005
O1 O 0.021 0.372 0.508
O2 O 0.021 0.628 0.008
```